Starting from a structure optimized by DFT (PBE), the powder diffractogram of Y2Co17C2 was simulated for Cu Ka.
Intensities are scaled so that the largest is 100.

The 10 most intense peaks (5 to 70 degrees two-theta), by intensity:
| d (Å) | two_theta | I_rel |
| --- | --- | --- |
| 2.123 | 42.59 | 100 |
| 2.088 | 43.33 | 91 |
| 2.111 | 42.84 | 83 |
| 2.026 | 44.73 | 69 |
| 1.873 | 48.60 | 67 |
| 2.097 | 43.15 | 63 |
| 2.443 | 36.80 | 44 |
| 2.345 | 38.39 | 43 |
| 1.887 | 48.22 | 32 |
| 2.021 | 44.84 | 27 |

```
Y2Co17C2
1.0
4.7173 -4.2233 0.0000
4.7173 4.2233 0.0000
-0.9458 0.0000 6.3283
Y Co C
2 17 2
Cartesian
1.0945 0.0000 2.1127
7.3943 0.0000 4.2156
2.3587 2.1116 0.0000
0.6163 0.0000 5.4783
3.4311 2.0711 2.1655
4.7173 2.4088 0.0000
2.7090 1.2052 4.5464
5.0577 2.0711 4.1629
3.7166 0.0000 0.5967
5.7798 1.2052 1.7819
2.3587 -2.1116 0.0000
4.2444 0.0000 3.1642
2.7090 -1.2052 4.5464
4.7723 0.0000 5.7316
3.4311 -2.0711 2.1655
5.7798 -1.2052 1.7819
4.7173 -2.4088 0.0000
5.0577 -2.0711 4.1629
7.8726 0.0000 0.8501
1.8858 2.1116 3.1642
1.8858 -2.1116 3.1642
```



Starting from a structure optimized by DFT (PBE), the powder diffractogram of Zr2CoC was simulated for Cu Ka.
Intensities are scaled so that the largest is 100.

The 10 most intense peaks (5 to 70 degrees two-theta), by intensity:
| d (Å) | two_theta | I_rel |
| --- | --- | --- |
| 2.706 | 33.10 | 100 |
| 2.201 | 41.00 | 39 |
| 1.708 | 53.67 | 38 |
| 2.580 | 34.77 | 27 |
| 1.503 | 61.73 | 24 |
| 3.113 | 28.68 | 19 |
| 1.987 | 45.67 | 11 |
| 1.557 | 59.38 | 10 |
| 1.378 | 68.02 | 8 |
| 1.349 | 69.69 | 6 |

```
Zr2CoC
1.0
6.2260 0.0000 0.0000
0.0000 6.2260 0.0000
0.0000 0.0000 6.8630
Zr Co C
8 4 4
Cartesian
1.2967 1.5565 0.8579
1.5565 4.4097 2.5736
1.5565 4.9294 6.0052
1.8163 1.5565 4.2894
4.4097 4.6695 4.2894
4.6695 1.2967 6.0052
4.6695 1.8163 2.5736
4.9294 4.6695 0.8579
0.0000 0.0000 3.4315
0.0000 3.1130 5.1473
3.1130 0.0000 1.7158
3.1130 3.1130 0.0000
0.0000 0.0000 0.0000
0.0000 3.1130 1.7158
3.1130 0.0000 5.1473
3.1130 3.1130 3.4315
```



Starting from a structure optimized by DFT (PBE), the powder diffractogram of CrC2 was simulated for Cu Ka.
Intensities are scaled so that the largest is 100.

The 10 most intense peaks (5 to 70 degrees two-theta), by intensity:
| d (Å) | two_theta | I_rel |
| --- | --- | --- |
| 5.615 | 15.78 | 100 |
| 2.163 | 41.77 | 62 |
| 2.675 | 33.51 | 49 |
| 1.912 | 47.56 | 44 |
| 1.727 | 53.04 | 40 |
| 2.423 | 37.10 | 35 |
| 3.287 | 27.13 | 33 |
| 2.469 | 36.40 | 32 |
| 1.721 | 53.24 | 21 |
| 1.542 | 59.98 | 21 |

```
CrC2
1.0
7.0685 0.0000 0.0000
0.0000 2.5893 0.0000
-1.3157 0.0000 5.6145
Cr C
4 8
Cartesian
0.0000 0.0000 0.0000
0.6570 0.0000 3.8252
3.5343 1.2947 0.0000
4.1913 1.2947 3.8252
0.2677 1.2947 5.2396
2.2639 1.2947 3.4022
2.6200 0.0000 2.6869
3.0814 0.0000 1.3485
3.8019 0.0000 5.2396
5.7982 0.0000 3.4022
6.1542 1.2947 2.6869
6.6156 1.2947 1.3485
```



Question: Which formula does entry 3 have?
Answer: CrC2